(1)
# MnN
Calculated PXRD pattern, CuKα. Input: the GGA-PBE geometry in the Materials Project.
Lines closer than 0.1° are merged.

Crystal structure
Lattice parameters (Å, degrees): 2.951 2.951 5.279 90.00 90.00 120.00
Fractional positions:
Mn 0.333 0.667 0.000
Mn 0.667 0.333 0.500
N 0.333 0.667 0.646
N 0.667 0.333 0.146

Main lines, in order of rising 2θ (10 to 80 degrees two-theta):
| Position (°2θ) | d_spacing | I/Imax | index |
| --- | --- | --- | --- |
| 33.96 | 2.640 | 41 | 0 0 2 |
| 35.12 | 2.555 | 46 | 1 0 0 |
| 39.17 | 2.300 | 100 | 1 0 1 |
| 49.66 | 1.836 | 19 | 1 0 2 |
| 63.00 | 1.475 | 27 | 1 1 0 |
| 64.27 | 1.449 | 37 | 1 0 3 |
| 71.48 | 1.320 | 3 | 0 0 4 |
| 73.54 | 1.288 | 21 | 1 1 2 |
| 74.22 | 1.278 | 4 | 2 0 0 |
| 76.75 | 1.242 | 12 | 2 0 1 |

(2)
# Mn3N2
Calculated PXRD pattern, CuKα. Input: the GGA-PBE geometry in the Materials Project.
Lines closer than 0.1° are merged.

Crystal structure
Lattice parameters (Å, degrees): 2.863 2.863 12.051 90.00 90.00 90.00
Fractional positions:
Mn 0.000 0.000 0.000
Mn 0.000 0.000 0.331
Mn 0.000 0.000 0.669
Mn 0.500 0.500 0.169
Mn 0.500 0.500 0.500
Mn 0.500 0.500 0.831
N 0.000 0.000 0.160
N 0.000 0.000 0.840
N 0.500 0.500 0.340
N 0.500 0.500 0.660

Main lines, in order of rising 2θ (10 to 80 degrees two-theta):
| Position (°2θ) | d_spacing | I/Imax | index |
| --- | --- | --- | --- |
| 14.70 | 6.025 | 4 | 0 0 2 |
| 32.14 | 2.785 | 2 | 1 0 1 |
| 38.62 | 2.331 | 100 | 1 0 3 |
| 44.77 | 2.024 | 59 | 1 1 0 |
| 45.14 | 2.008 | 28 | 0 0 6 |
| 63.01 | 1.475 | 1 | 1 0 7 |
| 65.18 | 1.431 | 17 | 2 0 0 |
| 65.47 | 1.426 | 32 | 1 1 6 |
| 78.40 | 1.220 | 23 | 2 1 3 |
| 78.93 | 1.213 | 11 | 1 0 9 |

(3)
# MnN
Calculated PXRD pattern, CuKα. Input: the GGA-PBE geometry in the Materials Project.
Lines closer than 0.1° are merged.

Crystal structure
Lattice parameters (Å, degrees): 4.260 4.260 4.260 90.00 90.00 90.00
Fractional positions:
Mn 0.000 0.000 0.000
Mn 0.000 0.500 0.500
Mn 0.500 0.000 0.500
Mn 0.500 0.500 0.000
N 0.250 0.250 0.750
N 0.250 0.750 0.250
N 0.750 0.250 0.250
N 0.750 0.750 0.750

Main lines, in order of rising 2θ (10 to 80 degrees two-theta):
| Position (°2θ) | d_spacing | I/Imax | index |
| --- | --- | --- | --- |
| 36.53 | 2.460 | 100 | 1 1 1 |
| 42.44 | 2.130 | 27 | 2 0 0 |
| 61.57 | 1.506 | 39 | 2 2 0 |
| 73.76 | 1.285 | 31 | 3 1 1 |
| 77.64 | 1.230 | 6 | 2 2 2 |